1.
Na2HgPdF6: calculated powder XRD pattern (Cu Kα (weighted mean of Kα1 and Kα2)), based on a cell relaxed with GGA-PBE.
Lines closer than 0.1° are merged.

Structure:
a b c (Å): 6.2794 6.2794 6.2794
angles (deg): 60.00 60.00 60.00
Sites, in units of the cell vectors:
Na: 0.2500 0.2500 0.2500
Na: 0.7500 0.7500 0.7500
Hg: 0.0000 0.0000 0.0000
Pd: 0.5000 0.5000 0.5000
F: 0.2575 0.2575 0.7425
F: 0.2575 0.7425 0.2575
F: 0.2575 0.7425 0.7425
F: 0.7425 0.2575 0.2575
F: 0.7425 0.2575 0.7425
F: 0.7425 0.7425 0.2575

The 10 most intense peaks (2θ from 10° to 80°), low angle first:
2θ (°)  I/Imax
17.3  13
20.0  100
28.4  95
33.5  11
40.6  40
45.7  46
50.3  40
58.8  25
62.8  22
66.6  18

=====

2.
Na2HgRhF6: calculated powder XRD pattern (Cu Kα (weighted mean of Kα1 and Kα2)), based on a cell relaxed with GGA-PBE.
Lines closer than 0.1° are merged.

Structure:
a b c (Å): 6.2582 6.2582 6.2582
angles (deg): 60.00 60.00 60.00
Sites, in units of the cell vectors:
Na: 0.2500 0.2500 0.2500
Na: 0.7500 0.7500 0.7500
Hg: 0.0000 0.0000 0.0000
Rh: 0.5000 0.5000 0.5000
F: 0.2697 0.2697 0.7303
F: 0.2697 0.7303 0.2697
F: 0.2697 0.7303 0.7303
F: 0.7303 0.2697 0.2697
F: 0.7303 0.2697 0.7303
F: 0.7303 0.7303 0.2697

The 10 most intense peaks (2θ from 10° to 80°), low angle first:
2θ (°)  I/Imax
17.4  11
20.1  100
28.5  95
33.6  12
40.8  39
45.9  45
50.5  39
59.0  24
63.0  21
66.9  18

=====

3.
Na2HgSbF6: calculated powder XRD pattern (Cu Kα (weighted mean of Kα1 and Kα2)), based on a cell relaxed with GGA-PBE.
Lines closer than 0.1° are merged.

Structure:
a b c (Å): 6.6975 6.6975 6.6975
angles (deg): 60.00 60.00 60.00
Sites, in units of the cell vectors:
Na: 0.2500 0.2500 0.2500
Na: 0.7500 0.7500 0.7500
Hg: 0.0000 0.0000 0.0000
Sb: 0.5000 0.5000 0.5000
F: 0.2768 0.2768 0.7232
F: 0.2768 0.7232 0.2768
F: 0.2768 0.7232 0.7232
F: 0.7232 0.2768 0.2768
F: 0.7232 0.2768 0.7232
F: 0.7232 0.7232 0.2768

The 10 most intense peaks (2θ from 10° to 80°), low angle first:
2θ (°)  I/Imax
18.7  100
26.6  97
38.0  39
42.7  46
47.0  41
54.8  25
58.5  22
62.0  20
71.9  11
75.0  23

=====

4.
Na2ScHgF6: calculated powder XRD pattern (Cu Kα (weighted mean of Kα1 and Kα2)), based on a cell relaxed with GGA-PBE.
Lines closer than 0.1° are merged.

Structure:
a b c (Å): 6.3926 6.3926 6.3926
angles (deg): 60.00 60.00 60.00
Sites, in units of the cell vectors:
Na: 0.2500 0.2500 0.2500
Na: 0.7500 0.7500 0.7500
Sc: 0.0000 0.0000 0.0000
Hg: 0.5000 0.5000 0.5000
F: 0.2236 0.2236 0.7764
F: 0.2236 0.7764 0.2236
F: 0.2236 0.7764 0.7764
F: 0.7764 0.2236 0.2236
F: 0.7764 0.2236 0.7764
F: 0.7764 0.7764 0.2236

The 10 most intense peaks (2θ from 10° to 80°), low angle first:
2θ (°)  I/Imax
17.0  53
19.6  100
27.9  99
32.9  51
39.9  46
43.6  32
44.8  43
49.4  40
57.7  28
79.3  22

=====

5.
Na2TiHgF6: calculated powder XRD pattern (Cu Kα (weighted mean of Kα1 and Kα2)), based on a cell relaxed with GGA-PBE.
Lines closer than 0.1° are merged.

Structure:
a b c (Å): 6.6866 6.6866 6.6866
angles (deg): 60.00 60.00 60.00
Sites, in units of the cell vectors:
Na: 0.2500 0.2500 0.2500
Na: 0.7500 0.7500 0.7500
Ti: 0.0000 0.0000 0.0000
Hg: 0.5000 0.5000 0.5000
F: 0.1998 0.1998 0.8002
F: 0.1998 0.8002 0.1998
F: 0.1998 0.8002 0.8002
F: 0.8002 0.1998 0.1998
F: 0.8002 0.1998 0.8002
F: 0.8002 0.8002 0.1998

The 10 most intense peaks (2θ from 10° to 80°), low angle first:
2θ (°)  I/Imax
16.2  33
18.8  96
26.7  100
31.4  46
38.1  40
41.6  35
42.8  37
47.1  36
62.1  24
75.2  24

=====

6.
Na2TlHgF6: calculated powder XRD pattern (Cu Kα (weighted mean of Kα1 and Kα2)), based on a cell relaxed with GGA-PBE.
Lines closer than 0.1° are merged.

Structure:
a b c (Å): 6.5130 6.5130 6.5130
angles (deg): 60.00 60.00 60.00
Sites, in units of the cell vectors:
Na: 0.2500 0.2500 0.2500
Na: 0.7500 0.7500 0.7500
Tl: 0.0000 0.0000 0.0000
Hg: 0.5000 0.5000 0.5000
F: 0.2490 0.2490 0.7510
F: 0.2490 0.7510 0.2490
F: 0.2490 0.7510 0.7510
F: 0.7510 0.2490 0.2490
F: 0.7510 0.2490 0.7510
F: 0.7510 0.7510 0.2490

The 10 most intense peaks (2θ from 10° to 80°), low angle first:
2θ (°)  I/Imax
19.3  100
27.4  94
33.7  12
39.1  35
44.0  49
48.4  41
56.5  23
60.3  24
63.9  18
77.6  22

=====

7.
Na2YHgF6: calculated powder XRD pattern (Cu Kα (weighted mean of Kα1 and Kα2)), based on a cell relaxed with GGA-PBE.
Lines closer than 0.1° are merged.

Structure:
a b c (Å): 6.6320 6.6320 6.6320
angles (deg): 60.00 60.00 60.00
Sites, in units of the cell vectors:
Na: 0.2500 0.2500 0.2500
Na: 0.7500 0.7500 0.7500
Y: 0.0000 0.0000 0.0000
Hg: 0.5000 0.5000 0.5000
F: 0.2317 0.2317 0.7683
F: 0.2317 0.7683 0.2317
F: 0.2317 0.7683 0.7683
F: 0.7683 0.2317 0.2317
F: 0.7683 0.2317 0.7683
F: 0.7683 0.7683 0.2317

The 10 most intense peaks (2θ from 10° to 80°), low angle first:
2θ (°)  I/Imax
18.9  100
26.9  97
31.6  18
38.4  43
43.1  46
47.5  41
55.4  27
59.1  22
62.6  19
75.9  22

=====

8.
NbHg3F6: calculated powder XRD pattern (Cu Kα (weighted mean of Kα1 and Kα2)), based on a cell relaxed with GGA-PBE.
Lines closer than 0.1° are merged.

Structure:
a b c (Å): 5.2800 5.2800 7.6850
angles (deg): 90.00 90.00 120.00
Sites, in units of the cell vectors:
Nb: 0.0000 0.0000 0.0000
Hg: 0.0000 0.0000 0.5000
Hg: 0.3333 0.6667 0.5000
Hg: 0.6667 0.3333 0.5000
F: 0.0000 0.2958 0.1507
F: 0.0000 0.7042 0.8493
F: 0.2958 0.0000 0.1507
F: 0.2958 0.2958 0.8493
F: 0.7042 0.0000 0.8493
F: 0.7042 0.7042 0.1507

The 10 most intense peaks (2θ from 10° to 80°), low angle first:
2θ (°)  I/Imax
11.5  100
23.1  52
34.0  57
35.0  16
36.0  71
41.5  83
49.6  21
59.5  30
60.8  16
65.9  19

=====

9.
Hg4OF6: calculated powder XRD pattern (Cu Kα (weighted mean of Kα1 and Kα2)), based on a cell relaxed with GGA-PBE.
Lines closer than 0.1° are merged.

Structure:
a b c (Å): 7.9268 7.9268 6.1682
angles (deg): 90.00 90.00 120.00
Sites, in units of the cell vectors:
Hg: 0.1823 0.3646 0.0000
Hg: 0.1823 0.8177 0.0000
Hg: 0.3333 0.6667 0.4757
Hg: 0.3646 0.1823 0.5000
Hg: 0.6354 0.8177 0.0000
Hg: 0.6667 0.3333 0.9757
Hg: 0.8177 0.1823 0.5000
Hg: 0.8177 0.6354 0.5000
O: 0.3333 0.6667 0.1274
O: 0.6667 0.3333 0.6274
F: 0.0801 0.5400 0.7264
F: 0.1274 0.2548 0.3953
F: 0.1274 0.8726 0.3953
F: 0.2548 0.1274 0.8953
F: 0.4600 0.5400 0.7264
F: 0.4600 0.9199 0.7264
F: 0.5400 0.0801 0.2264
F: 0.5400 0.4600 0.2264
F: 0.7452 0.8726 0.3953
F: 0.8726 0.1274 0.8953
F: 0.8726 0.7452 0.8953
F: 0.9199 0.4600 0.2264

The 10 most intense peaks (2θ from 10° to 80°), low angle first:
2θ (°)  I/Imax
26.0  25
29.0  26
29.8  100
39.3  23
45.8  28
51.8  26
55.1  24
55.6  17
71.6  8
74.8  12

=====

10.
Hg2PO3F: calculated powder XRD pattern (Cu Kα (weighted mean of Kα1 and Kα2)), based on a cell relaxed with GGA-PBE.
Lines closer than 0.1° are merged.

Structure:
a b c (Å): 9.0268 9.0268 9.0268
angles (deg): 115.63 92.77 121.28
Sites, in units of the cell vectors:
Hg: 0.1193 0.0177 0.6935
Hg: 0.1758 0.4823 0.1016
Hg: 0.3242 0.4258 0.3065
Hg: 0.3807 0.0742 0.8984
Hg: 0.6193 0.9258 0.1016
Hg: 0.6758 0.5742 0.6935
Hg: 0.8242 0.5177 0.8984
Hg: 0.8807 0.9823 0.3065
P: 0.2416 0.4513 0.6929
P: 0.2584 0.9513 0.2097
P: 0.7416 0.0487 0.7903
P: 0.7584 0.5487 0.3071
O: 0.0921 0.2181 0.6013
O: 0.1168 0.7181 0.1260
O: 0.1688 0.0588 0.2275
O: 0.3312 0.5588 0.8900
O: 0.3832 0.5092 0.6013
O: 0.4079 0.0092 0.1260
O: 0.5921 0.9908 0.8740
O: 0.6168 0.4908 0.3987
O: 0.6688 0.4412 0.1100
O: 0.8312 0.9412 0.7725
O: 0.8832 0.2819 0.8740
O: 0.9079 0.7819 0.3987
F: 0.1299 0.5333 0.6632
F: 0.3701 0.0333 0.4033
F: 0.6299 0.9667 0.5967
F: 0.8701 0.4667 0.3368

The 10 most intense peaks (2θ from 10° to 80°), low angle first:
2θ (°)  I/Imax
11.6  33
18.5  70
20.1  72
27.4  100
28.7  69
34.3  31
34.9  27
35.3  72
40.1  37
52.4  25

=====

Copy entry 8 word for word.
NbHg3F6: calculated powder XRD pattern (Cu Kα (weighted mean of Kα1 and Kα2)), based on a cell relaxed with GGA-PBE.
Lines closer than 0.1° are merged.

Structure:
a b c (Å): 5.2800 5.2800 7.6850
angles (deg): 90.00 90.00 120.00
Sites, in units of the cell vectors:
Nb: 0.0000 0.0000 0.0000
Hg: 0.0000 0.0000 0.5000
Hg: 0.3333 0.6667 0.5000
Hg: 0.6667 0.3333 0.5000
F: 0.0000 0.2958 0.1507
F: 0.0000 0.7042 0.8493
F: 0.2958 0.0000 0.1507
F: 0.2958 0.2958 0.8493
F: 0.7042 0.0000 0.8493
F: 0.7042 0.7042 0.1507

The 10 most intense peaks (2θ from 10° to 80°), low angle first:
2θ (°)  I/Imax
11.5  100
23.1  52
34.0  57
35.0  16
36.0  71
41.5  83
49.6  21
59.5  30
60.8  16
65.9  19